The following is a computed PXRD pattern of NaNiAgSeS2. It was derived from the PBE geometry in OQMD, using a wavelength of 1.5418 Å.

Atomic structure:
Cell: 7.3819 7.3819 9.9670 Å, 90.00 90.00 153.65°
Sites, in units of the cell vectors:
Na (0.2166, 0.7834, 0.7500)
Na (0.7834, 0.2166, 0.2500)
Ni (0.5000, 0.5000, 0.0000)
Ni (0.5000, 0.5000, 0.5000)
Ag (0.1099, 0.8901, 0.2500)
Ag (0.8901, 0.1099, 0.7500)
Se (0.4489, 0.5511, 0.2500)
Se (0.5511, 0.4489, 0.7500)
S (0.1072, 0.8928, 0.0108)
S (0.1072, 0.8928, 0.4892)
S (0.8928, 0.1072, 0.5108)
S (0.8928, 0.1072, 0.9892)

Peak list (10 most intense, 10 to 80 degrees two-theta, sorted by position)
2θ (°), I_rel
12.31, 100.0
15.20, 19.1
32.52, 40.7
33.77, 59.8
36.04, 42.1
38.64, 27.2
41.31, 21.2
42.65, 25.8
49.32, 23.5
55.96, 16.0